For Bi2Te2Se, a cell relaxed with PBE gives the computed powder diffractogram in this record (Cu Ka).
Intensities are scaled so that the largest is 100.

Structural model:
a b c (Å): 4.3465 4.3465 32.2689
angles (deg): 90.00 90.00 120.00
Fractional coordinates of all 15 atoms:
Bi: 0.0000 0.0000 0.1090
Bi: 0.0000 0.0000 0.8910
Bi: 0.3333 0.6667 0.5576
Bi: 0.3333 0.6667 0.7757
Bi: 0.6667 0.3333 0.2243
Bi: 0.6667 0.3333 0.4424
Te: 0.0000 0.0000 0.2792
Te: 0.0000 0.0000 0.7208
Te: 0.3333 0.6667 0.3875
Te: 0.3333 0.6667 0.9458
Te: 0.6667 0.3333 0.0542
Te: 0.6667 0.3333 0.6125
Se: 0.0000 0.0000 0.5000
Se: 0.3333 0.6667 0.1667
Se: 0.6667 0.3333 0.8333

Main lines, in order of rising 2θ (10 to 80 degrees two-theta):
| d_spacing | I (rel.) |
| --- | --- |
| 5.378 | 17 |
| 3.739 | 11 |
| 3.252 | 100 |
| 2.752 | 22 |
| 2.450 | 25 |
| 2.173 | 40 |
| 2.072 | 24 |
| 1.807 | 19 |
| 1.500 | 9 |
| 1.389 | 16 |
| 1.383 | 18 |
| 1.234 | 9 |

***

For Tl2Bi2Te3Se, a cell relaxed with PBE gives the computed powder diffractogram in this record (Cu Ka).
Intensities are scaled so that the largest is 100.

Structural model:
a b c (Å): 6.3785 6.4456 13.1554
angles (deg): 90.00 90.00 90.00
Fractional coordinates of all 16 atoms:
Tl: 0.0000 0.0000 0.0000
Tl: 0.0000 0.5000 0.2399
Tl: 0.5000 0.0000 0.7399
Tl: 0.5000 0.5000 0.5000
Bi: 0.0000 0.0000 0.4786
Bi: 0.0000 0.5000 0.7428
Bi: 0.5000 0.0000 0.2428
Bi: 0.5000 0.5000 0.9786
Te: 0.0000 0.0000 0.7253
Te: 0.0000 0.5000 0.5011
Te: 0.0000 0.5000 0.9799
Te: 0.5000 0.0000 0.0011
Te: 0.5000 0.0000 0.4799
Te: 0.5000 0.5000 0.2253
Se: 0.0000 0.0000 0.2549
Se: 0.5000 0.5000 0.7549

Main lines, in order of rising 2θ (10 to 80 degrees two-theta):
| d_spacing | I (rel.) |
| --- | --- |
| 3.733 | 45 |
| 3.289 | 99 |
| 3.223 | 100 |
| 3.189 | 97 |
| 2.302 | 76 |
| 2.290 | 74 |
| 2.267 | 77 |
| 1.866 | 81 |
| 1.438 | 18 |
| 1.331 | 22 |
| 1.318 | 26 |
| 1.311 | 26 |

***

For TlBiTeSe, a cell relaxed with PBE gives the computed powder diffractogram in this record (Cu Ka).
Intensities are scaled so that the largest is 100.

Structural model:
a b c (Å): 4.5160 4.5160 6.2103
angles (deg): 90.00 90.00 90.00
Fractional coordinates of all 4 atoms:
Tl: 0.0000 0.0000 0.0000
Bi: 0.5000 0.5000 0.5000
Te: 0.0000 0.0000 0.5000
Se: 0.5000 0.5000 0.0000

Main lines, in order of rising 2θ (10 to 80 degrees two-theta):
| d_spacing | I (rel.) |
| --- | --- |
| 3.652 | 30 |
| 3.193 | 100 |
| 3.105 | 47 |
| 2.258 | 39 |
| 2.226 | 75 |
| 1.826 | 41 |
| 1.597 | 13 |
| 1.428 | 18 |
| 1.420 | 18 |
| 1.396 | 17 |
| 1.297 | 27 |
| 1.279 | 13 |

***

For TlBiSe2, a cell relaxed with PBE gives the computed powder diffractogram in this record (Cu Ka).
Intensities are scaled so that the largest is 100.

Structural model:
a b c (Å): 4.3724 4.3724 43.2005
angles (deg): 90.00 90.00 90.00
Fractional coordinates of all 28 atoms:
Tl: 0.0000 0.0000 0.0000
Tl: 0.0000 0.0000 0.1399
Tl: 0.0000 0.0000 0.8601
Tl: 0.5000 0.5000 0.0711
Tl: 0.5000 0.5000 0.2096
Tl: 0.5000 0.5000 0.7904
Tl: 0.5000 0.5000 0.9289
Bi: 0.0000 0.0000 0.2802
Bi: 0.0000 0.0000 0.4276
Bi: 0.0000 0.0000 0.5724
Bi: 0.0000 0.0000 0.7198
Bi: 0.5000 0.5000 0.3559
Bi: 0.5000 0.5000 0.5000
Bi: 0.5000 0.5000 0.6441
Se: 0.0000 0.0000 0.0726
Se: 0.0000 0.0000 0.2195
Se: 0.0000 0.0000 0.3608
Se: 0.0000 0.0000 0.5000
Se: 0.0000 0.0000 0.6392
Se: 0.0000 0.0000 0.7805
Se: 0.0000 0.0000 0.9274
Se: 0.5000 0.5000 0.0000
Se: 0.5000 0.5000 0.1430
Se: 0.5000 0.5000 0.2902
Se: 0.5000 0.5000 0.4301
Se: 0.5000 0.5000 0.5699
Se: 0.5000 0.5000 0.7098
Se: 0.5000 0.5000 0.8570

Main lines, in order of rising 2θ (10 to 80 degrees two-theta):
| d_spacing | I (rel.) |
| --- | --- |
| 3.568 | 35 |
| 3.090 | 100 |
| 2.185 | 75 |
| 1.937 | 2 |
| 1.863 | 18 |
| 1.784 | 26 |
| 1.546 | 9 |
| 1.543 | 3 |
| 1.418 | 7 |
| 1.382 | 24 |
| 1.381 | 9 |
| 1.261 | 24 |

***

For TlBiSe2, a cell relaxed with PBE gives the computed powder diffractogram in this record (Cu Ka).
Intensities are scaled so that the largest is 100.

Structural model:
a b c (Å): 4.3145 4.3145 22.9100
angles (deg): 90.00 90.00 120.00
Fractional coordinates of all 12 atoms:
Tl: 0.0000 0.0000 0.0000
Tl: 0.3333 0.6667 0.6667
Tl: 0.6667 0.3333 0.3333
Bi: 0.0000 0.0000 0.5000
Bi: 0.3333 0.6667 0.1667
Bi: 0.6667 0.3333 0.8333
Se: 0.0000 0.0000 0.2389
Se: 0.0000 0.0000 0.7611
Se: 0.3333 0.6667 0.4278
Se: 0.3333 0.6667 0.9055
Se: 0.6667 0.3333 0.0945
Se: 0.6667 0.3333 0.5722

Main lines, in order of rising 2θ (10 to 80 degrees two-theta):
| d_spacing | I (rel.) |
| --- | --- |
| 3.818 | 11 |
| 3.552 | 26 |
| 3.129 | 100 |
| 2.273 | 39 |
| 2.157 | 37 |
| 1.878 | 11 |
| 1.776 | 20 |
| 1.565 | 12 |
| 1.430 | 17 |
| 1.371 | 17 |
| 1.267 | 13 |
| 1.246 | 7 |

***

For Tl9BiSe6, a cell relaxed with PBE gives the computed powder diffractogram in this record (Cu Ka).
Intensities are scaled so that the largest is 100.

Structural model:
a b c (Å): 8.9954 8.9954 8.9954
angles (deg): 122.96 122.96 84.94
Fractional coordinates of all 16 atoms:
Tl: 0.0000 0.0000 0.0000
Tl: 0.0001 0.4933 0.7996
Tl: 0.9999 0.5067 0.2004
Tl: 0.2005 0.0001 0.5068
Tl: 0.3063 0.7995 0.7996
Tl: 0.4933 0.6937 0.4932
Tl: 0.5067 0.3063 0.5068
Tl: 0.6937 0.2005 0.2004
Tl: 0.7995 0.9999 0.4932
Bi: 0.5000 0.5000 0.0000
Se: 0.1800 0.3514 0.5314
Se: 0.2728 0.2728 0.0000
Se: 0.3514 0.8200 0.1714
Se: 0.6486 0.1800 0.8286
Se: 0.7272 0.7272 0.0000
Se: 0.8200 0.6486 0.4686

Main lines, in order of rising 2θ (10 to 80 degrees two-theta):
| d_spacing | I (rel.) |
| --- | --- |
| 4.480 | 9 |
| 3.690 | 19 |
| 2.912 | 19 |
| 2.900 | 100 |
| 2.716 | 54 |
| 2.626 | 11 |
| 2.212 | 12 |
| 1.885 | 12 |
| 1.803 | 12 |
| 1.728 | 10 |
| 1.715 | 16 |
| 1.501 | 21 |

***

For TlBiSe2, a cell relaxed with PBE gives the computed powder diffractogram in this record (Cu Ka).
Intensities are scaled so that the largest is 100.

Structural model:
a b c (Å): 4.3497 4.3497 6.1261
angles (deg): 90.00 90.00 90.00
Fractional coordinates of all 4 atoms:
Tl: 0.0000 0.0000 0.0000
Bi: 0.5000 0.5000 0.5000
Se: 0.0000 0.0000 0.5000
Se: 0.5000 0.5000 0.0000

Main lines, in order of rising 2θ (10 to 80 degrees two-theta):
| d_spacing | I (rel.) |
| --- | --- |
| 3.547 | 46 |
| 3.076 | 87 |
| 3.063 | 43 |
| 2.172 | 100 |
| 1.854 | 16 |
| 1.848 | 8 |
| 1.773 | 36 |
| 1.538 | 11 |
| 1.375 | 31 |
| 1.371 | 16 |
| 1.255 | 23 |
| 1.252 | 12 |

***

For SiBi3, a cell relaxed with PBE gives the computed powder diffractogram in this record (Cu Ka).
Intensities are scaled so that the largest is 100.

Structural model:
a b c (Å): 7.6472 7.6472 7.6472
angles (deg): 90.00 90.00 90.00
Fractional coordinates of all 16 atoms:
Si: 0.0000 0.0000 0.0000
Si: 0.0000 0.5000 0.5000
Si: 0.5000 0.0000 0.5000
Si: 0.5000 0.5000 0.0000
Bi: 0.0000 0.0000 0.5000
Bi: 0.0000 0.5000 0.0000
Bi: 0.2500 0.2500 0.2500
Bi: 0.2500 0.2500 0.7500
Bi: 0.2500 0.7500 0.2500
Bi: 0.2500 0.7500 0.7500
Bi: 0.5000 0.0000 0.0000
Bi: 0.5000 0.5000 0.5000
Bi: 0.7500 0.2500 0.2500
Bi: 0.7500 0.2500 0.7500
Bi: 0.7500 0.7500 0.2500
Bi: 0.7500 0.7500 0.7500

Main lines, in order of rising 2θ (10 to 80 degrees two-theta):
| d_spacing | I (rel.) |
| --- | --- |
| 4.415 | 16 |
| 3.824 | 9 |
| 2.704 | 100 |
| 2.306 | 10 |
| 1.912 | 19 |
| 1.754 | 4 |
| 1.710 | 4 |
| 1.561 | 39 |
| 1.472 | 3 |
| 1.352 | 12 |
| 1.293 | 3 |
| 1.209 | 18 |

***

For SmBi, a cell relaxed with PBE gives the computed powder diffractogram in this record (Cu Ka).
Intensities are scaled so that the largest is 100.

Structural model:
a b c (Å): 4.1958 4.1958 3.4581
angles (deg): 90.00 90.00 90.00
Fractional coordinates of all 2 atoms:
Sm: 0.0000 0.0000 0.0000
Bi: 0.5000 0.5000 0.5000

Main lines, in order of rising 2θ (10 to 80 degrees two-theta):
| d_spacing | I (rel.) |
| --- | --- |
| 4.196 | 4 |
| 2.967 | 66 |
| 2.669 | 100 |
| 2.252 | 2 |
| 2.098 | 25 |
| 1.729 | 7 |
| 1.649 | 48 |
| 1.494 | 17 |
| 1.483 | 9 |
| 1.334 | 12 |
| 1.327 | 12 |
| 1.297 | 11 |

***

For Sm5Bi3, a cell relaxed with PBE gives the computed powder diffractogram in this record (Cu Ka).
Intensities are scaled so that the largest is 100.

Structural model:
a b c (Å): 12.3830 9.7493 8.4356
angles (deg): 90.00 90.00 90.00
Fractional coordinates of all 32 atoms:
Sm: 0.0045 0.2500 0.0227
Sm: 0.0650 0.0580 0.6929
Sm: 0.0650 0.4420 0.6929
Sm: 0.2101 0.7500 0.3429
Sm: 0.2289 0.2500 0.3363
Sm: 0.2711 0.7500 0.8363
Sm: 0.2899 0.2500 0.8429
Sm: 0.4350 0.5580 0.1929
Sm: 0.4350 0.9420 0.1929
Sm: 0.4955 0.7500 0.5227
Sm: 0.5045 0.2500 0.4773
Sm: 0.5650 0.0580 0.8071
Sm: 0.5650 0.4420 0.8071
Sm: 0.7101 0.7500 0.1571
Sm: 0.7289 0.2500 0.1637
Sm: 0.7711 0.7500 0.6637
Sm: 0.7899 0.2500 0.6571
Sm: 0.9350 0.5580 0.3071
Sm: 0.9350 0.9420 0.3071
Sm: 0.9955 0.7500 0.9773
Bi: 0.0245 0.7500 0.5945
Bi: 0.1748 0.5062 0.0671
Bi: 0.1748 0.9938 0.0671
Bi: 0.3252 0.0062 0.5671
Bi: 0.3252 0.4938 0.5671
Bi: 0.4755 0.2500 0.0945
Bi: 0.5245 0.7500 0.9055
Bi: 0.6748 0.5062 0.4329
Bi: 0.6748 0.9938 0.4329
Bi: 0.8252 0.0062 0.9329
Bi: 0.8252 0.4938 0.9329
Bi: 0.9755 0.2500 0.4055

Main lines, in order of rising 2θ (10 to 80 degrees two-theta):
| d_spacing | I (rel.) |
| --- | --- |
| 3.707 | 25 |
| 3.089 | 100 |
| 3.033 | 22 |
| 2.951 | 86 |
| 2.906 | 54 |
| 2.835 | 84 |
| 2.742 | 29 |
| 2.613 | 40 |
| 2.522 | 20 |
| 2.437 | 45 |
| 2.267 | 25 |
| 1.582 | 28 |

***

For SmBi3, a cell relaxed with PBE gives the computed powder diffractogram in this record (Cu Ka).
Intensities are scaled so that the largest is 100.

Structural model:
a b c (Å): 4.7114 4.7114 11.1292
angles (deg): 90.00 90.00 90.00
Fractional coordinates of all 8 atoms:
Sm: 0.0000 0.0000 0.0000
Sm: 0.5000 0.5000 0.5000
Bi: 0.0000 0.0000 0.5000
Bi: 0.0000 0.5000 0.2500
Bi: 0.0000 0.5000 0.7500
Bi: 0.5000 0.0000 0.2500
Bi: 0.5000 0.0000 0.7500
Bi: 0.5000 0.5000 0.0000

Main lines, in order of rising 2θ (10 to 80 degrees two-theta):
| d_spacing | I (rel.) |
| --- | --- |
| 5.565 | 1 |
| 4.339 | 1 |
| 2.915 | 1 |
| 2.858 | 100 |
| 2.782 | 23 |
| 2.356 | 30 |
| 1.798 | 27 |
| 1.666 | 10 |
| 1.621 | 19 |
| 1.439 | 26 |
| 1.429 | 13 |
| 1.391 | 3 |